1.
Simulated powder X-ray diffraction pattern of Np2AuSe2N2 for Cu Kα (λ = 1.5418 Å), from a crystal structure in Alexandria, relaxed with GGA-PBE.

Principal peaks in the range 2θ = 10–80°, most intense first:
- 35.5 deg, d = 2.526 Å, intensity 100
- 28.6 deg, d = 3.117 Å, intensity 64
- 31.4 deg, d = 2.850 Å, intensity 63
- 48.9 deg, d = 1.861 Å, intensity 41
- 62.8 deg, d = 1.480 Å, intensity 25
- 14.5 deg, d = 6.099 Å, intensity 25
- 40.7 deg, d = 2.215 Å, intensity 24
- 61.9 deg, d = 1.498 Å, intensity 20
- 53.3 deg, d = 1.720 Å, intensity 20
- 36.8 deg, d = 2.439 Å, intensity 19

Structure:
Cell lengths 3.7224, 3.7224, 12.1973 Å; angles 90.00, 90.00, 120.00 degrees
Space group P-3m1 (No. 164)
One atom of each set of equivalent atoms:
Np  0.3333  0.6667  0.2979
Au  0.0000  0.0000  0.5000
Se  0.0000  0.0000  0.1493
N  0.3333  0.6667  0.6658

***

2.
Simulated powder X-ray diffraction pattern of CsCa2Sc for Cu Kα (λ = 1.5418 Å), from a crystal structure in Alexandria, relaxed with GGA-PBE.

Principal peaks in the range 2θ = 10–80°, most intense first:
- 25.1 deg, d = 3.546 Å, intensity 100
- 37.2 deg, d = 2.419 Å, intensity 61
- 31.9 deg, d = 2.809 Å, intensity 53
- 27.4 deg, d = 3.254 Å, intensity 36
- 42.5 deg, d = 2.126 Å, intensity 27
- 13.6 deg, d = 6.508 Å, intensity 21
- 56.3 deg, d = 1.635 Å, intensity 19
- 19.9 deg, d = 4.468 Å, intensity 19
- 55.1 deg, d = 1.667 Å, intensity 18
- 17.4 deg, d = 5.111 Å, intensity 18

Structure:
Cell lengths 5.2119, 5.2119, 26.0323 Å; angles 90.00, 90.00, 90.00 degrees
Space group I-42d (No. 122)
One atom of each set of equivalent atoms:
Cs  0.0000  0.0000  0.0000
Ca  0.2326  0.2500  0.6250
Sc  0.0000  0.0000  0.5000

***

3.
Simulated powder X-ray diffraction pattern of LiNp2TeS3 for Cu Kα (λ = 1.5418 Å), from a crystal structure in Alexandria, relaxed with GGA-PBE.

Principal peaks in the range 2θ = 10–80°, most intense first:
- 13.3 deg, d = 6.645 Å, intensity 100
- 31.1 deg, d = 2.877 Å, intensity 93
- 25.7 deg, d = 3.470 Å, intensity 77
- 44.5 deg, d = 2.034 Å, intensity 68
- 34.0 deg, d = 2.640 Å, intensity 38
- 46.7 deg, d = 1.945 Å, intensity 31
- 40.7 deg, d = 2.215 Å, intensity 29
- 73.6 deg, d = 1.287 Å, intensity 28
- 26.8 deg, d = 3.322 Å, intensity 24
- 55.3 deg, d = 1.661 Å, intensity 23

Structure:
Cell lengths 8.1391, 8.1391, 19.9266 Å; angles 90.00, 90.00, 120.00 degrees
Space group R-3m (No. 166, hexagonal axes)
One atom of each set of equivalent atoms:
Li  0.0000  0.0000  0.0955
Np  0.0000  0.0000  0.5000
Np  0.0000  0.5000  0.0000
Te  0.0000  0.0000  0.2357
S  0.0332  0.5166  0.2564

***

4.
Simulated powder X-ray diffraction pattern of Li3Pr2Cd3 for Cu Kα (λ = 1.5418 Å), from a crystal structure in Alexandria, relaxed with GGA-PBE.

Principal peaks in the range 2θ = 10–80°, most intense first:
- 34.1 deg, d = 2.629 Å, intensity 100
- 24.2 deg, d = 3.674 Å, intensity 90
- 11.5 deg, d = 7.703 Å, intensity 87
- 34.9 deg, d = 2.568 Å, intensity 84
- 49.6 deg, d = 1.837 Å, intensity 32
- 62.1 deg, d = 1.494 Å, intensity 31
- 68.2 deg, d = 1.376 Å, intensity 23
- 56.5 deg, d = 1.628 Å, intensity 20
- 43.0 deg, d = 2.104 Å, intensity 17
- 59.5 deg, d = 1.554 Å, intensity 17

Structure:
Cell lengths 8.8943, 8.8943, 6.5183 Å; angles 90.00, 90.00, 120.00 degrees
Space group P6_3/mcm (No. 193)
One atom of each set of equivalent atoms:
Li  0.0000  0.2795  0.2500
Pr  0.3333  0.6667  0.0000
Cd  0.0000  0.3577  0.7500